Structure and computed X-ray diffraction stick pattern of Pr4TlTeC (the GGA-PBE geometry in Alexandria; Cu Kα).
Lines closer than 0.1° are merged.

Structural model:
abc: 7.182 16.370 7.190
angles: 90.00 90.00 90.00
Space group Cmcm (No. 63)
Unique sites:
Pr1 0.000 0.088 0.250 (multiplicity 4)
Pr2 0.000 0.408 0.250 (multiplicity 4)
Pr3 0.250 0.250 0.000 (multiplicity 8)
Tl1 0.000 0.112 0.750 (multiplicity 4)
Te1 0.000 0.389 0.750 (multiplicity 4)
C1 0.000 0.247 0.250 (multiplicity 4)

Most intense lines, 10° ≤ 2θ ≤ 90°, sorted by position:
2θ (°), d_spacing, I (rel.), (hkl)
24.78, 3.593, 21, 2 0 0
27.10, 3.290, 59, 2 2 0
32.83, 2.728, 23, 0 6 0
33.18, 2.700, 100, 2 4 0
35.33, 2.541, 60, 2 0 2
48.99, 1.859, 30, 2 6 2
62.05, 1.496, 33, 4 4 2
62.33, 1.490, 16, 2 10 0



Structure and computed X-ray diffraction stick pattern of La4P3F (the GGA-PBE geometry in Alexandria; Cu Kα).
Lines closer than 0.1° are merged.

Structural model:
abc: 4.199 11.740 8.352
angles: 90.00 90.00 90.00
Space group Amm2 (No. 38)
Unique sites:
La1 0.000 0.000 0.000 (multiplicity 2)
La2 0.000 0.000 0.486 (multiplicity 2)
La3 0.500 0.249 0.743 (multiplicity 4)
P1 0.000 0.250 0.493 (multiplicity 4)
P2 0.500 0.000 0.243 (multiplicity 2)
F1 0.500 0.000 0.744 (multiplicity 2)

Most intense lines, 10° ≤ 2θ ≤ 90°, sorted by position:
2θ (°), d_spacing, I (rel.), (hkl)
26.14, 3.409, 100, 1 2 0
30.18, 2.961, 82, 1 0 2
30.46, 2.935, 40, 0 4 0
43.40, 2.085, 74, 1 4 2
51.12, 1.787, 17, 2 2 2
51.28, 1.781, 16, 1 2 4
51.56, 1.773, 16, 1 6 0
71.37, 1.322, 19, 2 4 4



Structure and computed X-ray diffraction stick pattern of RbMn (the GGA-PBE geometry in Alexandria; Cu Kα).
Lines closer than 0.1° are merged.

Structural model:
abc: 15.297 3.964 8.264
angles: 90.00 90.00 90.00
Space group Pmn2_1 (No. 31)
Unique sites:
Rb1 0.000 0.242 0.000 (multiplicity 2)
Rb2 0.213 0.757 0.705 (multiplicity 4)
Mn1 0.000 0.239 0.460 (multiplicity 2)
Mn2 0.082 0.739 0.352 (multiplicity 4)

Most intense lines, 10° ≤ 2θ ≤ 90°, sorted by position:
2θ (°), d_spacing, I (rel.), (hkl)
20.47, 4.340, 32, 3 0 1
24.49, 3.636, 100, 2 0 2
24.91, 3.574, 31, 0 1 1
27.54, 3.238, 55, 2 1 1
28.52, 3.130, 47, 3 1 0
31.83, 2.811, 52, 1 1 2
43.30, 2.090, 46, 5 1 2
47.51, 1.914, 32, 7 1 0



Structure and computed X-ray diffraction stick pattern of KDy4HoS8 (the GGA-PBE geometry in Alexandria; Cu Kα).
Lines closer than 0.1° are merged.

Structural model:
abc: 8.2141 8.2141 20.0746
angles: 90.00 90.00 120.00
Space group R3m (No. 160, hexagonal axes)
Unique sites:
K1 0.0000 0.0000 0.0000 (multiplicity 3)
Dy1 0.0000 0.0000 0.7504 (multiplicity 3)
Dy2 0.0121 0.5061 0.8769 (multiplicity 9)
Ho1 0.0000 0.0000 0.3707 (multiplicity 3)
S1 0.0000 0.0000 0.1418 (multiplicity 3)
S2 0.0000 0.0000 0.6179 (multiplicity 3)
S3 0.0205 0.5102 0.1276 (multiplicity 9)
S4 0.1890 0.3781 0.9535 (multiplicity 9)

Most intense lines, 10° ≤ 2θ ≤ 90°, sorted by position:
2θ (°), d_spacing, I (rel.), (hkl)
13.21, 6.702, 35, 1 0 1
21.65, 4.104, 16, 1 1 0
25.45, 3.500, 100, 0 1 5
26.60, 3.351, 22, 2 0 2
30.81, 2.902, 36, 0 2 4
40.38, 2.234, 50, 1 2 5
44.13, 2.052, 62, 2 2 0
61.33, 1.511, 21, 4 1 3